For Na3LiCuPCO7, DFT lattice parameters and positions (GGA-PBE) gives the computed XRD peak list in this record (CuKα).
Kinematic intensities with the Lorentz-polarization factor, no thermal factor.

Largest 8 diffraction maxima, most intense first, 5 to 70 degrees two-theta:
2θ = 28.10°, d 3.175, rel. 100, (0 2 0)
2θ = 34.31°, d 2.614, rel. 97, (1 2 -1)
2θ = 35.15°, d 2.553, rel. 91, (2 0 0)
2θ = 8.77°, d 10.081, rel. 79, (0 0 1)
2θ = 19.28°, d 4.604, rel. 72, (1 0 -1)
2θ = 35.31°, d 2.542, rel. 57, (1 1 3)
2θ = 39.45°, d 2.284, rel. 57, (1 0 -4)
2θ = 45.98°, d 1.974, rel. 50, (0 2 4)

```
data_Na3LiCuPCO7
_chemical_formula_sum 'Na6 Li2 Cu2 P2 C2 O14'
_cell_length_a 5.1080
_cell_length_b 6.3502
_cell_length_c 10.0847
_cell_angle_alpha 90.00
_cell_angle_beta 91.51
_cell_angle_gamma 90.00
_space_group_name_H-M_alt 'P 1 21/m 1'
_space_group_IT_number 11
loop_
_space_group_symop_operation_xyz
'x,y,z'
'-x,-y,-z'
'-x,y+1/2,-z'
'x,-y+1/2,z'
loop_
_atom_site_label
_atom_site_fract_x
_atom_site_fract_y
_atom_site_fract_z
Na1 0.2258 0.0160 0.2632
Na2 0.2505 0.2500 0.5884
Li1 0.0000 0.0000 0.0000
Cu1 0.2907 0.7500 0.8287
P1 0.3518 0.2500 0.9038
C1 0.2591 0.7500 0.5437
O1 0.0336 0.7500 0.5995
O2 0.2275 0.0539 0.8292
O3 0.2420 0.2500 0.0474
O4 0.2685 0.7500 0.4142
O5 0.3484 0.7500 0.1032
O6 0.4771 0.7500 0.6132
```

=====

For Li2InSnO4, DFT lattice parameters and positions (GGA-PBE) gives the computed XRD peak list in this record (CuKα).
Kinematic intensities with the Lorentz-polarization factor, no thermal factor.

Largest 8 diffraction maxima, most intense first, 5 to 70 degrees two-theta:
2θ = 22.06°, d 4.030, rel. 100, (1 0 1)
2θ = 34.02°, d 2.635, rel. 40, (1 1 2)
2θ = 40.80°, d 2.211, rel. 36, (2 0 0)
2θ = 46.86°, d 1.939, rel. 27, (2 1 1)
2θ = 56.06°, d 1.640, rel. 25, (2 0 4)
2θ = 34.16°, d 2.625, rel. 25, (1 0 3)
2θ = 36.74°, d 2.446, rel. 23, (0 0 4)
2θ = 54.24°, d 1.691, rel. 14, (2 1 3)

```
data_Li2InSnO4
_chemical_formula_sum 'Li4 In2 Sn2 O8'
_cell_length_a 4.4229
_cell_length_b 4.4229
_cell_length_c 9.7844
_cell_angle_alpha 90.00
_cell_angle_beta 90.00
_cell_angle_gamma 90.00
_space_group_name_H-M_alt 'I -4 m 2'
_space_group_IT_number 119
_space_group_name_Hall 'I -4 -2'
loop_
_atom_site_label
_atom_site_fract_x
_atom_site_fract_y
_atom_site_fract_z
Li1 0.0000 0.0000 0.0000
Li2 0.0000 0.5000 0.2500
In1 0.0000 0.5000 0.7500
Sn1 0.0000 0.0000 0.5000
O1 0.0000 0.0000 0.2652
O2 0.0000 0.5000 0.5212
```

=====

For Rb2In2I7, DFT lattice parameters and positions (GGA-PBE) gives the computed XRD peak list in this record (CuKα).
Kinematic intensities with the Lorentz-polarization factor, no thermal factor.

Largest 8 diffraction maxima, most intense first, 5 to 70 degrees two-theta:
2θ = 17.54°, d 5.057, rel. 100, (1 1 1)
2θ = 22.85°, d 3.891, rel. 95, (1 2 -2)
2θ = 19.12°, d 4.643, rel. 65, (1 3 0)
2θ = 35.06°, d 2.560, rel. 58, (0 6 2)
2θ = 23.07°, d 3.856, rel. 57, (1 4 0)
2θ = 17.16°, d 5.166, rel. 50, (1 2 -1)
2θ = 13.49°, d 6.562, rel. 42, (0 2 1)
2θ = 34.66°, d 2.588, rel. 38, (0 4 3)

```
data_Rb2In2I7
_chemical_formula_sum 'Rb4 In4 I14'
_cell_length_a 7.2701
_cell_length_b 18.3089
_cell_length_c 9.5645
_cell_angle_alpha 90.00
_cell_angle_beta 100.27
_cell_angle_gamma 90.00
_space_group_name_H-M_alt 'P 1 21/c 1'
_space_group_IT_number 14
loop_
_space_group_symop_operation_xyz
'x,y,z'
'-x,-y,-z'
'-x,y+1/2,-z+1/2'
'x,-y+1/2,z+1/2'
loop_
_atom_site_label
_atom_site_fract_x
_atom_site_fract_y
_atom_site_fract_z
Rb1 0.1448 0.1504 0.4296
In1 0.3134 0.6113 0.6449
I1 0.0136 0.1627 0.0331
I2 0.2061 0.5506 0.8934
I3 0.4588 0.2310 0.7433
I4 0.5000 0.0000 0.0000
```

=====

For Tb7Ho, DFT lattice parameters and positions (GGA-PBE) gives the computed XRD peak list in this record (CuKα).
Kinematic intensities with the Lorentz-polarization factor, no thermal factor.

Largest 5 diffraction maxima, most intense first, 5 to 70 degrees two-theta:
2θ = 30.89°, d 2.895, rel. 100, (2 2 2)
2θ = 35.81°, d 2.507, rel. 51, (4 0 0)
2θ = 61.31°, d 1.512, rel. 43, (6 2 2)
2θ = 51.55°, d 1.773, rel. 36, (4 4 0)
2θ = 64.36°, d 1.448, rel. 12, (4 4 4)

```
data_Tb7Ho
_chemical_formula_sum 'Tb28 Ho4'
_cell_length_a 10.0291
_cell_length_b 10.0291
_cell_length_c 10.0291
_cell_angle_alpha 90.00
_cell_angle_beta 90.00
_cell_angle_gamma 90.00
_space_group_name_H-M_alt 'F m -3 m'
_space_group_IT_number 225
_space_group_name_Hall '-F 4 2 3'
loop_
_atom_site_label
_atom_site_fract_x
_atom_site_fract_y
_atom_site_fract_z
Tb1 0.0000 0.0000 0.0000
Tb2 0.0000 0.2500 0.2500
Ho1 0.0000 0.0000 0.5000
```

=====

For Zr2Re3Si4, DFT lattice parameters and positions (GGA-PBE) gives the computed XRD peak list in this record (CuKα).
Kinematic intensities with the Lorentz-polarization factor, no thermal factor.

Largest 8 diffraction maxima, most intense first, 5 to 70 degrees two-theta:
2θ = 38.66°, d 2.329, rel. 100, (2 2 -1)
2θ = 27.06°, d 3.295, rel. 81, (1 1 1)
2θ = 42.36°, d 2.134, rel. 80, (1 1 -3)
2θ = 38.77°, d 2.322, rel. 74, (1 1 2)
2θ = 30.54°, d 2.928, rel. 71, (0 2 1)
2θ = 32.46°, d 2.758, rel. 54, (2 0 -2)
2θ = 30.00°, d 2.979, rel. 50, (1 1 -2)
2θ = 43.53°, d 2.079, rel. 45, (0 3 1)

```
data_Zr2Re3Si4
_chemical_formula_sum 'Zr4 Re6 Si8'
_cell_length_a 6.6371
_cell_length_b 6.6065
_cell_length_c 6.7641
_cell_angle_alpha 90.00
_cell_angle_beta 110.87
_cell_angle_gamma 90.00
_space_group_name_H-M_alt 'P 1 21/c 1'
_space_group_IT_number 14
loop_
_space_group_symop_operation_xyz
'x,y,z'
'-x,-y,-z'
'-x,y+1/2,-z+1/2'
'x,-y+1/2,z+1/2'
loop_
_atom_site_label
_atom_site_fract_x
_atom_site_fract_y
_atom_site_fract_z
Zr1 0.1923 0.1672 0.0657
Re1 0.2382 0.6446 0.2557
Re2 0.5000 0.0000 0.5000
Si1 0.0956 0.5530 0.8695
Si2 0.4899 0.6387 0.6317
```

=====

For InCoTe, DFT lattice parameters and positions (GGA-PBE) gives the computed XRD peak list in this record (CuKα).
Kinematic intensities with the Lorentz-polarization factor, no thermal factor.

Largest 8 diffraction maxima, most intense first, 5 to 70 degrees two-theta:
2θ = 30.41°, d 2.939, rel. 100, (0 0 2)
2θ = 30.84°, d 2.899, rel. 100, (1 -2 0)
2θ = 30.26°, d 2.954, rel. 88, (2 1 1)
2θ = 46.70°, d 1.945, rel. 58, (1 -2 2)
2θ = 43.82°, d 2.066, rel. 54, (2 1 3)
2θ = 43.44°, d 2.083, rel. 44, (1 3 1)
2θ = 44.07°, d 2.055, rel. 42, (3 -1 1)
2θ = 43.07°, d 2.100, rel. 37, (2 1 -1)

```
data_InCoTe
_chemical_formula_sum 'In4 Co4 Te4'
_cell_length_a 6.5607
_cell_length_b 6.5800
_cell_length_c 6.5833
_cell_angle_alpha 72.50
_cell_angle_beta 70.13
_cell_angle_gamma 89.11
_space_group_name_H-M_alt 'P 1'
_space_group_IT_number 1
loop_
_space_group_symop_operation_xyz
'x,y,z'
loop_
_atom_site_label
_atom_site_fract_x
_atom_site_fract_y
_atom_site_fract_z
In1 0.0000 0.0000 0.0000
In2 0.0043 0.4847 0.5206
In3 0.1522 0.0367 0.4536
In4 0.4889 0.8100 0.1042
Co1 0.3363 0.2002 0.9984
Co2 0.3356 0.6717 0.5607
Co3 0.7450 0.1215 0.7309
Co4 0.8732 0.7085 0.8289
Te1 0.1705 0.5512 0.9847
Te2 0.4642 0.3087 0.5781
Te3 0.6718 0.3342 0.0233
Te4 0.6834 0.8447 0.5352
```

=====

For Pm5Sc3, DFT lattice parameters and positions (GGA-PBE) gives the computed XRD peak list in this record (CuKα).
Kinematic intensities with the Lorentz-polarization factor, no thermal factor.

Largest 8 diffraction maxima, most intense first, 5 to 70 degrees two-theta:
2θ = 31.24°, d 2.863, rel. 100, (1 0 4)
2θ = 35.72°, d 2.514, rel. 36, (1 1 0)
2θ = 61.39°, d 1.510, rel. 28, (2 1 4)
2θ = 52.56°, d 1.741, rel. 21, (1 1 8)
2θ = 25.47°, d 3.497, rel. 16, (1 0 1)
2θ = 37.25°, d 2.414, rel. 15, (0 0 8)
2θ = 51.40°, d 1.778, rel. 12, (2 0 0)
2θ = 65.17°, d 1.431, rel. 11, (2 0 8)

```
data_Pm5Sc3
_chemical_formula_sum 'Pm5 Sc3'
_cell_length_a 3.5553
_cell_length_b 3.5553
_cell_length_c 19.3130
_cell_angle_alpha 90.00
_cell_angle_beta 90.00
_cell_angle_gamma 90.00
_space_group_name_H-M_alt 'P 4/m m m'
_space_group_IT_number 123
_space_group_name_Hall '-P 4 2'
loop_
_atom_site_label
_atom_site_fract_x
_atom_site_fract_y
_atom_site_fract_z
Pm1 0.0000 0.0000 0.0000
Pm2 0.0000 0.0000 0.2412
Pm3 0.5000 0.5000 0.3778
Sc1 0.0000 0.0000 0.5000
Sc2 0.5000 0.5000 0.1195
```

=====

For Pu2CoH6Pt, DFT lattice parameters and positions (GGA-PBE) gives the computed XRD peak list in this record (CuKα).
Kinematic intensities with the Lorentz-polarization factor, no thermal factor.

Largest 8 diffraction maxima, most intense first, 5 to 70 degrees two-theta:
2θ = 35.37°, d 2.538, rel. 100, (2 0 0)
2θ = 33.43°, d 2.680, rel. 58, (0 2 1)
2θ = 61.00°, d 1.519, rel. 32, (2 4 0)
2θ = 48.01°, d 1.895, rel. 22, (0 4 0)
2θ = 64.70°, d 1.441, rel. 18, (4 2 -1)
2θ = 23.47°, d 3.790, rel. 12, (0 2 0)
2θ = 21.06°, d 4.218, rel. 11, (1 1 0)
2θ = 61.08°, d 1.517, rel. 11, (2 2 -3)

```
data_Pu2CoH6Pt
_chemical_formula_sum 'Pu4 Co2 H12 Pt2'
_cell_length_a 6.8347
_cell_length_b 7.5873
_cell_length_c 5.0971
_cell_angle_alpha 90.00
_cell_angle_beta 132.02
_cell_angle_gamma 90.00
_space_group_name_H-M_alt 'C 1 2/m 1'
_space_group_IT_number 12
loop_
_space_group_symop_operation_xyz
'x,y,z'
'-x,-y,-z'
'-x,y,-z'
'x,-y,z'
'x+1/2,y+1/2,z'
'-x+1/2,-y+1/2,-z'
'-x+1/2,y+1/2,-z'
'x+1/2,-y+1/2,z'
loop_
_atom_site_label
_atom_site_fract_x
_atom_site_fract_y
_atom_site_fract_z
Pu1 0.0000 0.2500 0.0000
Co1 0.0000 0.0000 0.5000
H1 0.0000 0.2144 0.5000
H2 0.2155 0.0000 0.9299
H3 0.2399 0.0000 0.4979
Pt1 0.0000 0.5000 0.5000
```

=====

Please write out number 2 again, unchanged.
For Li2InSnO4, DFT lattice parameters and positions (GGA-PBE) gives the computed XRD peak list in this record (CuKα).
Kinematic intensities with the Lorentz-polarization factor, no thermal factor.

Largest 8 diffraction maxima, most intense first, 5 to 70 degrees two-theta:
2θ = 22.06°, d 4.030, rel. 100, (1 0 1)
2θ = 34.02°, d 2.635, rel. 40, (1 1 2)
2θ = 40.80°, d 2.211, rel. 36, (2 0 0)
2θ = 46.86°, d 1.939, rel. 27, (2 1 1)
2θ = 56.06°, d 1.640, rel. 25, (2 0 4)
2θ = 34.16°, d 2.625, rel. 25, (1 0 3)
2θ = 36.74°, d 2.446, rel. 23, (0 0 4)
2θ = 54.24°, d 1.691, rel. 14, (2 1 3)

```
data_Li2InSnO4
_chemical_formula_sum 'Li4 In2 Sn2 O8'
_cell_length_a 4.4229
_cell_length_b 4.4229
_cell_length_c 9.7844
_cell_angle_alpha 90.00
_cell_angle_beta 90.00
_cell_angle_gamma 90.00
_space_group_name_H-M_alt 'I -4 m 2'
_space_group_IT_number 119
_space_group_name_Hall 'I -4 -2'
loop_
_atom_site_label
_atom_site_fract_x
_atom_site_fract_y
_atom_site_fract_z
Li1 0.0000 0.0000 0.0000
Li2 0.0000 0.5000 0.2500
In1 0.0000 0.5000 0.7500
Sn1 0.0000 0.0000 0.5000
O1 0.0000 0.0000 0.2652
O2 0.0000 0.5000 0.5212
```